Computed powder diffraction line list of Mg2CoSbO6 for CuKα, from DFT lattice parameters and positions (PBE+U).
No peak broadening, texture or thermal motion is included.

Peak list (8 most intense, 2θ from 15° to 90°, sorted by position)
23.5°, rel. 60; 23.7°, rel. 59; 23.9°, rel. 61; 33.3°, rel. 49; 33.6°, rel. 100; 33.8°, rel. 94; 34.5°, rel. 41; 48.1°, rel. 27

Structural model:
Unit cell a=5.2018 b=7.5652 c=5.3807 alpha=90.00 beta=90.52 gamma=90.00
Space group P2_1/m (No. 11)
Inequivalent atoms, fractional coordinates:
Mg: 0.0072 0.2500 0.0386
Mg: 0.4817 0.7500 0.4318
Co: 0.5000 0.0000 0.0000
Sb: 0.0000 0.0000 0.5000
O: 0.1406 0.2500 0.4274
O: 0.1725 0.5688 0.1864
O: 0.3182 0.5686 0.6781
O: 0.3819 0.2500 0.9305